For Rb2PdF4, a PBE-relaxed structure gives the simulated powder XRD pattern in this record (a wavelength of 1.5418 Å).
Lines closer than 0.1° are merged.

Crystal structure
```
data_Rb2PdF4
_chemical_formula_sum 'Rb2 Pd1 F4'
_cell_length_a 6.1238
_cell_length_b 6.1238
_cell_length_c 3.5996
_cell_angle_alpha 90.00
_cell_angle_beta 90.00
_cell_angle_gamma 90.00
_space_group_name_H-M_alt 'P 4/m m m'
_space_group_IT_number 123
_space_group_name_Hall '-P 4 2'
loop_
_atom_site_label
_atom_site_type_symbol
_atom_site_fract_x
_atom_site_fract_y
_atom_site_fract_z
_atom_site_occupancy
Rb1 Rb 0.0000 0.5000 0.0000 1
Pd1 Pd 0.0000 0.0000 0.5000 1
F1 F 0.2301 0.2301 0.5000 1
```

Most intense lines, 2θ = 10–80°, most intense first:
32.3 deg, rel. 100, (1 1 1)
14.5 deg, rel. 63, (1 0 0)
53.8 deg, rel. 44, (3 1 1)
41.7 deg, rel. 38, (2 2 0)
29.2 deg, rel. 34, (2 0 0)
28.8 deg, rel. 24, (1 0 1)
67.7 deg, rel. 16, (2 2 2)
38.6 deg, rel. 15, (2 0 1)
41.4 deg, rel. 12, (2 1 1)
32.7 deg, rel. 12, (2 1 0)